No. 1
Diffraction record for NiH16C4S4N8Cl2. The powder diffraction line list is simulated, not measured: it uses a DFT-relaxed cell (GGA-PBE, the Materials Project) and copper Kα.
Neutral-atom scattering factors, no anomalous dispersion.

Peak list (10 most intense, 2θ = 15–90°, sorted by position)
index	two_theta	Rel. int.
0 0 2	19.64	56
2 1 1	22.74	100
3 1 0	29.12	99
1 0 3	31.08	54
2 2 2	32.79	86
4 0 0	37.08	63
4 1 1	39.59	46
4 1 3	49.14	36
4 0 4	55.60	27
3 4 3	56.42	31

Structure:
```
data_NiH16C4S4N8Cl2
_chemical_formula_sum 'Ni2 H32 C8 S8 N16 Cl4'
_symmetry_space_group_name_H-M 'I 4'
_symmetry_Int_Tables_number 79
_symmetry_space_group_name_Hall 'I 4'
_cell_length_a 9.6977
_cell_length_b 9.6977
_cell_length_c 9.0388
_cell_angle_alpha 90.00
_cell_angle_beta 90.00
_cell_angle_gamma 90.00
loop_
_atom_site_label
_atom_site_fract_x
_atom_site_fract_y
_atom_site_fract_z
_atom_site_occupancy
Ni1 0.0000 0.0000 0.0000 1
H1 0.0057 0.2219 0.3988 1
H2 0.0055 0.6539 0.5397 1
H3 0.1622 0.1690 0.7821 1
H4 0.1999 0.2199 0.2391 1
C1 0.1511 0.6738 0.9201 1
S1 0.0290 0.7506 0.0306 1
N1 0.0454 0.3067 0.4507 1
N2 0.2051 0.7407 0.8051 1
Cl1 0.0000 0.0000 0.2808 1
Cl2 0.0000 0.0000 0.7331 1
```



No. 2
Diffraction record for InAgP2O7. The powder diffraction line list is simulated, not measured: it uses a DFT-relaxed cell (GGA-PBE, the Materials Project) and copper Kα.
Neutral-atom scattering factors, no anomalous dispersion.

Peak list (10 most intense, 2θ = 15–90°, sorted by position)
index	two_theta	Rel. int.
0 0 2	19.14	29
0 2 0	21.12	28
2 0 0	25.24	48
2 0 -2	25.37	31
0 2 2	28.65	100
2 2 0	33.14	30
2 2 -2	33.24	43
2 0 2	37.36	17
2 2 -4	43.55	17
2 4 -2	50.56	27

Structure:
```
data_InAgP2O7
_chemical_formula_sum 'In4 Ag4 P8 O28'
_symmetry_space_group_name_H-M 'P 1 21/c 1'
_symmetry_Int_Tables_number 14
_symmetry_space_group_name_Hall '-P 2ybc'
_cell_length_a 7.6078
_cell_length_b 8.4125
_cell_length_c 10.0002
_cell_angle_alpha 90.00
_cell_angle_beta 111.93
_cell_angle_gamma 90.00
loop_
_atom_site_label
_atom_site_fract_x
_atom_site_fract_y
_atom_site_fract_z
_atom_site_occupancy
In1 0.2427 0.0048 0.2476 1
Ag1 0.2090 0.0272 0.6952 1
P1 0.1762 0.7125 0.4516 1
P2 0.4235 0.2476 0.5393 1
O1 0.0455 0.5890 0.3510 1
O2 0.1325 0.6147 0.8958 1
O3 0.1916 0.7043 0.6083 1
O4 0.3171 0.2162 0.3785 1
O5 0.3198 0.1329 0.0950 1
O6 0.3785 0.6649 0.4424 1
O7 0.4749 0.0933 0.6305 1
```